Starting from a PBE-relaxed structure, the X-ray powder pattern of NaB3Te was computed for Cu Ka.

Peak list (12 most intense, 15° ≤ 2θ ≤ 90°, by angle)
two_theta	I_rel
19.4	724
27.5	1000
33.9	110
39.4	288
44.2	321
48.7	419
56.9	185
60.7	157
64.3	178
74.8	69
78.1	199
87.9	96

Structure:
```
5
Lattice="4.5789 0.0000 0.0000 0.0000 4.5789 0.0000 0.0000 0.0000 4.5789" Properties=species:S:1:pos:R:3 pbc="T T T"
Na 0.0000 0.0000 0.0000
B 0.0000 2.2894 2.2894
B 2.2894 0.0000 2.2894
B 2.2894 2.2894 0.0000
Te 2.2894 2.2894 2.2894
```

---

Starting from a PBE-relaxed structure, the X-ray powder pattern of K3CdHg6 was computed for Cu Ka.

Peak list (12 most intense, 15° ≤ 2θ ≤ 90°, by angle)
two_theta	I_rel
15.7	228
20.6	249
23.1	229
31.1	1000
31.7	221
39.6	449
40.5	264
42.0	120
57.6	165
59.8	222
63.2	101
64.6	110

Structure:
```
20
Lattice="6.6779 3.8555 4.3053 -6.6779 3.8555 4.3053 0.0000 -7.7110 4.3053" Properties=species:S:1:pos:R:3 pbc="T T T"
K -3.3600 1.8912 5.3816
K -3.3179 -1.9643 7.5342
K 0.0422 -3.8555 5.3816
K -0.0422 3.8555 7.5342
K 3.3179 1.9643 5.3816
K 3.3601 -1.8912 7.5342
Cd 0.0000 0.0000 0.0000
Cd 0.0000 0.0000 6.4579
Hg -0.0115 -2.2690 2.1679
Hg -1.9593 1.1444 2.1679
Hg -1.9593 -1.1444 4.2900
Hg 1.9707 1.1246 2.1679
Hg -0.0115 2.2690 4.2900
Hg 1.9707 -1.1246 4.2900
Hg -1.9707 1.1246 8.6258
Hg 0.0115 -2.2690 8.6258
Hg -1.9707 -1.1246 10.7479
Hg 1.9593 1.1444 8.6258
Hg 1.9593 -1.1444 10.7479
Hg 0.0115 2.2690 10.7479
```

---

Starting from a PBE-relaxed structure, the X-ray powder pattern of Cs2LiF4 was computed for Cu Ka.

Peak list (12 most intense, 15° ≤ 2θ ≤ 90°, by angle)
two_theta	I_rel
21.5	825
24.1	463
27.5	1000
29.3	758
38.3	979
41.9	466
47.6	316
48.1	254
49.0	267
50.9	375
65.7	210
74.2	251

Structure:
```
7
Lattice="-2.1539 2.1539 7.3766 2.1539 -2.1539 7.3766 2.1539 2.1539 -7.3766" Properties=species:S:1:pos:R:3 pbc="T T T"
Cs 0.0000 0.0000 2.0838
Cs 0.0000 0.0000 12.6694
Li 0.0000 0.0000 7.3766
F 2.1539 0.0000 0.0000
F 0.0000 0.0000 5.2568
F 0.0000 2.1539 0.0000
F 0.0000 0.0000 9.4964
```